NaPu2Br4: calculated powder diffraction line list (Cu Kα (λ = 1.5418 Å)), based on a GGA-PBE-relaxed structure.

Atomic structure:
```
NaPu2Br4
1.0
8.1266 -1.7835 0.0000
8.1266 1.7835 0.0000
-2.6297 0.0000 7.2862
Na Pu Br
1 2 4
direct
0.0000 0.0000 0.0000
0.2374 0.2374 0.0877
0.7626 0.7626 0.9123
0.0998 0.0998 0.7390
0.3558 0.3558 0.7398
0.6442 0.6442 0.2602
0.9002 0.9002 0.2610
```

Peak list (10 most intense, 2θ = 10–90°, low angle first)
- d 7.644, I 100.0
- d 7.286, I 81.5
- d 6.487, I 41.8
- d 4.558, I 30.1
- d 2.992, I 28.9
- d 2.915, I 34.6
- d 2.533, I 20.5
- d 2.398, I 23.1
- d 2.236, I 21.0
- d 2.067, I 25.0